The following is a calculated powder diffraction line list of KAg4F7. It was derived from a PBE-relaxed structure, using Cu Kα (λ = 1.5418 Å).
Intensities are scaled so that the largest is 1000.

Crystal structure
```
12
Lattice="3.5902 0.0000 0.0000 -0.8816 5.7543 0.0000 -1.2475 -2.8475 9.5699" Properties=species:S:1:pos:R:3 pbc="T T T"
K 0.0000 0.0000 0.0000
Ag -0.6515 0.1230 7.4915
Ag 0.6170 2.9807 2.0509
Ag 0.0411 3.1126 5.9555
Ag 2.2166 0.2208 3.6348
F -0.7537 -0.8770 5.4909
F -0.7526 4.5612 2.5444
F -0.5008 0.8173 9.5605
F 0.4768 2.0549 4.0524
F 0.6667 -1.5829 7.9220
F 1.9140 1.2790 1.6475
F 1.5389 1.6917 6.9785
```

Largest 6 diffraction maxima, low angle first, 2θ = 10–90°:
18.54°, I 218, hkl 0 0 2; 27.46°, I 317, hkl 1 -1 0; 28.00°, I 1000, hkl 0 1 2; 31.08°, I 327, hkl 0 2 -1; 31.56°, I 486, hkl 1 1 -1; 53.50°, I 161, hkl 0 3 -4